Simulated PXRD pattern of Tm7Tl2Tc2 for copper Kα, from a DFT-relaxed cell (GGA-PBE, Alexandria).
No peak broadening, texture or thermal motion is included.

Structural model:
Cell lengths 6.525, 6.525, 7.707 Å; angles 90.00, 90.00, 113.78 degrees
Fractional positions:
1 Tm 0.000 0.000 0.000
2 Tm 0.000 0.500 0.268
3 Tm 0.000 0.500 0.732
4 Tm 0.500 0.000 0.268
5 Tm 0.500 0.000 0.732
6 Tm 0.500 0.500 0.207
7 Tm 0.500 0.500 0.793
8 Tl 0.204 0.204 0.500
9 Tl 0.796 0.796 0.500
10 Tc 0.295 0.705 0.000
11 Tc 0.705 0.295 0.000

Main lines, in order of falling intensity (10° ≤ 2θ ≤ 80°):
2θ 38.13, 2.360 Å, rel. 100; 2θ 27.56, 3.236 Å, rel. 89; 2θ 32.77, 2.733 Å, rel. 61; 2θ 28.34, 3.149 Å, rel. 37; 2θ 36.19, 2.482 Å, rel. 35; 2θ 58.65, 1.574 Å, rel. 31; 2θ 38.75, 2.324 Å, rel. 29; 2θ 47.17, 1.927 Å, rel. 28; 2θ 29.93, 2.986 Å, rel. 27; 2θ 43.34, 2.088 Å, rel. 25

Simulated PXRD pattern of Ca2YSnO5 for copper Kα, from a DFT-relaxed cell (GGA-PBE, Alexandria).
No peak broadening, texture or thermal motion is included.

Structural model:
Cell lengths 5.962, 6.148, 8.711 Å; angles 109.92, 109.44, 90.27 degrees
Fractional positions:
1 Ca 0.000 0.000 0.000
2 Ca 0.194 0.125 0.497
3 Ca 0.474 0.484 0.021
4 Ca 0.711 0.773 0.521
5 Y 0.080 0.545 0.236
6 Y 0.584 0.066 0.248
7 Sn 0.376 0.803 0.769
8 Sn 0.872 0.358 0.748
9 O 0.036 0.049 0.717
10 O 0.191 0.476 0.727
11 O 0.255 0.784 0.140
12 O 0.315 0.760 0.515
13 O 0.338 0.295 0.153
14 O 0.600 0.170 0.520
15 O 0.740 0.670 0.765
16 O 0.779 0.752 0.270
17 O 0.806 0.334 0.953
18 O 0.934 0.228 0.275

Main lines, in order of falling intensity (10° ≤ 2θ ≤ 80°):
2θ 31.32, 2.856 Å, rel. 100; 2θ 20.75, 4.280 Å, rel. 84; 2θ 31.15, 2.871 Å, rel. 63; 2θ 29.98, 2.981 Å, rel. 61; 2θ 29.05, 3.074 Å, rel. 60; 2θ 31.63, 2.829 Å, rel. 56; 2θ 23.24, 3.827 Å, rel. 39; 2θ 42.13, 2.145 Å, rel. 34; 2θ 53.90, 1.701 Å, rel. 29; 2θ 47.52, 1.914 Å, rel. 25